Starting from a structure optimized by DFT (PBE), the X-ray powder pattern of Ti7Zn2In3 was computed for CuKα.
Peak positions follow from Bragg's law for the DFT cell and can differ from measured ones.

Atomic structure:
```
Ti7Zn2In3
1.0
0.0000 4.1908 8.7065
2.9120 0.0000 8.7065
2.9120 4.1908 0.0000
Ti Zn In
7 2 3
Direct
0.0000 0.0000 0.0000 Ti
0.0825 0.0825 0.4175 Ti
0.2500 0.2500 0.2500 Ti
0.4175 0.4175 0.0825 Ti
0.5825 0.5825 0.9175 Ti
0.7500 0.7500 0.7500 Ti
0.9175 0.9175 0.5825 Ti
0.1620 0.1620 0.8380 Zn
0.8380 0.8380 0.1620 Zn
0.3281 0.3281 0.6719 In
0.5000 0.5000 0.5000 In
0.6719 0.6719 0.3281 In
```

Principal peaks in the range 5° ≤ 2θ ≤ 70°, in order of rising 2θ:
2theta  I (rel.)
19.25  86
21.20  100
37.66  1000
43.17  168
44.05  311
63.39  196